Entry 1:
Theoretical XRD peak list
Compound: Ba2SrH12Pd3
Radiation: Cu Ka
Structure: a crystal structure in Alexandria, relaxed with PBE
Kinematic intensities with the Lorentz-polarization factor, no thermal factor.

Crystal structure
```
18
Lattice="3.447 1.990 5.256 -3.447 1.990 5.256 0.000 -3.981 5.256" Properties=species:S:1:pos:R:3 pbc="T T T"
Ba 0.000 0.000 1.716
Ba 0.000 0.000 14.051
Sr 0.000 0.000 7.883
H -1.920 -1.108 6.948
H 0.000 -1.507 5.451
H -1.306 0.754 5.451
H 0.000 -2.217 8.819
H -1.920 1.108 8.819
H -1.306 -0.754 10.315
H 1.306 0.754 5.451
H 1.920 -1.108 6.948
H 0.000 2.217 6.948
H 1.306 -0.754 10.316
H 0.000 1.507 10.316
H 1.920 1.108 8.819
Pd -1.724 -0.995 5.256
Pd -1.724 0.995 10.511
Pd 0.000 1.990 5.256
```

The 10 most intense peaks (10 to 80 degrees two-theta), sorted by position:
2θ (°), d/Å, Rel. int.
25.84, 3.447, 24
27.11, 3.290, 25
30.47, 2.933, 55
31.02, 2.883, 54
32.08, 2.790, 100
48.93, 1.861, 15
49.68, 1.835, 28
53.13, 1.724, 26
55.90, 1.645, 17
63.44, 1.466, 21


Entry 2:
Theoretical XRD peak list
Compound: Ba2TbH12Pd3
Radiation: Cu Ka
Structure: a crystal structure in Alexandria, relaxed with PBE
Kinematic intensities with the Lorentz-polarization factor, no thermal factor.

Crystal structure
```
18
Lattice="3.470 2.003 5.008 -3.470 2.003 5.008 0.000 -4.006 5.008" Properties=species:S:1:pos:R:3 pbc="T T T"
Ba 0.000 0.000 1.707
Ba 0.000 0.000 13.316
Tb 0.000 0.000 7.511
H -1.792 -1.035 6.735
H 0.000 -1.499 5.205
H -1.298 0.750 5.205
H 0.000 -2.069 8.288
H -1.792 1.035 8.288
H -1.298 -0.750 9.817
H 1.298 0.750 5.205
H 1.792 -1.035 6.735
H 0.000 2.069 6.735
H 1.298 -0.750 9.817
H 0.000 1.499 9.817
H 1.792 1.035 8.288
Pd -1.735 -1.002 5.008
Pd -1.735 1.002 10.015
Pd 0.000 2.003 5.008
```

The 10 most intense peaks (10 to 80 degrees two-theta), sorted by position:
2θ (°), d/Å, Rel. int.
25.68, 3.470, 47
30.34, 2.946, 45
31.37, 2.852, 100
32.08, 2.790, 76
33.34, 2.687, 64
48.97, 1.860, 29
50.36, 1.812, 40
52.77, 1.735, 39
57.91, 1.592, 26
63.87, 1.458, 22


Entry 3:
Theoretical XRD peak list
Compound: Ba2TlHPd6
Radiation: Cu Ka
Structure: a crystal structure in Alexandria, relaxed with PBE
Kinematic intensities with the Lorentz-polarization factor, no thermal factor.

Crystal structure
```
10
Lattice="5.224 -3.020 0.000 5.224 3.020 0.000 -3.502 0.000 6.485" Properties=species:S:1:pos:R:3 pbc="T T T"
Ba 1.732 0.000 1.188
Ba 5.214 0.000 5.297
Tl 5.224 0.000 0.000
H -1.751 0.000 3.243
Pd 0.002 0.000 4.314
Pd 2.594 1.490 4.315
Pd 4.352 1.490 2.170
Pd 2.594 -1.490 4.315
Pd 4.352 -1.490 2.170
Pd 6.944 0.000 2.171
```

The 10 most intense peaks (10 to 80 degrees two-theta), sorted by position:
2θ (°), d/Å, Rel. int.
25.01, 3.561, 36
32.73, 2.736, 98
35.57, 2.524, 100
36.62, 2.454, 81
39.09, 2.304, 98
39.20, 2.298, 49
41.63, 2.170, 42
54.79, 1.675, 29
57.17, 1.611, 30
61.45, 1.509, 57


Entry 4:
Theoretical XRD peak list
Compound: Ba2H6Pt
Radiation: Cu Ka
Structure: a crystal structure in Alexandria, relaxed with PBE
Kinematic intensities with the Lorentz-polarization factor, no thermal factor.

Crystal structure
```
18
Lattice="7.256 -2.988 0.000 7.256 2.988 0.000 0.000 0.000 5.976" Properties=species:S:1:pos:R:3 pbc="T T T"
Ba 2.060 0.000 0.000
Ba 5.196 0.000 2.988
Ba 9.316 0.000 2.988
Ba 12.451 0.000 0.000
H 10.883 -1.493 1.494
H 3.628 1.493 4.482
H 1.672 0.000 2.988
H 7.256 1.793 4.178
H 7.256 1.196 1.190
H 5.584 0.000 0.000
H 3.628 -1.493 1.494
H 10.883 1.493 4.482
H 8.927 0.000 0.000
H 7.256 -1.196 4.786
H 7.256 -1.793 1.798
H 12.840 0.000 2.988
Pt 0.000 0.000 2.988
Pt 7.256 0.000 0.000
```

The 10 most intense peaks (10 to 80 degrees two-theta), sorted by position:
2θ (°), d/Å, Rel. int.
12.20, 7.256, 17
28.04, 3.182, 100
29.90, 2.988, 48
37.60, 2.392, 17
42.80, 2.113, 19
48.42, 1.880, 15
51.95, 1.760, 36
57.96, 1.591, 9
58.26, 1.584, 9
59.63, 1.551, 9


Entry 5:
Theoretical XRD peak list
Compound: BaH2Pt2
Radiation: Cu Ka
Structure: a crystal structure in Alexandria, relaxed with PBE
Kinematic intensities with the Lorentz-polarization factor, no thermal factor.

Crystal structure
```
5
Lattice="4.945 0.000 0.000 -2.473 4.283 0.000 0.000 0.000 3.658" Properties=species:S:1:pos:R:3 pbc="T T T"
Ba 0.000 0.000 0.000
H 0.000 2.855 0.000
H 2.473 1.428 0.000
Pt 0.000 2.855 1.829
Pt 2.473 1.428 1.829
```

The 10 most intense peaks (10 to 80 degrees two-theta), sorted by position:
2θ (°), d/Å, Rel. int.
24.34, 3.658, 20
32.18, 2.781, 100
36.33, 2.473, 94
44.21, 2.049, 26
49.31, 1.848, 31
49.86, 1.829, 13
62.77, 1.480, 30
63.24, 1.470, 38
65.37, 1.428, 17
77.15, 1.236, 11


Entry 6:
Theoretical XRD peak list
Compound: Ba5HPt
Radiation: Cu Ka
Structure: a crystal structure in Alexandria, relaxed with PBE
Kinematic intensities with the Lorentz-polarization factor, no thermal factor.

Crystal structure
```
14
Lattice="8.147 0.000 0.000 -0.752 8.125 0.000 -3.580 -4.167 10.504" Properties=species:S:1:pos:R:3 pbc="T T T"
Ba -0.620 -0.192 3.620
Ba -1.572 0.342 7.880
Ba 2.168 1.350 0.513
Ba 1.405 5.418 1.635
Ba 0.400 3.745 5.754
Ba 3.415 0.214 4.750
Ba 2.410 -1.459 8.869
Ba 1.647 2.609 9.991
Ba 5.387 3.617 2.624
Ba 4.435 4.151 6.884
H 1.849 -0.259 2.630
H 1.967 4.218 7.874
Pt -2.166 1.979 5.252
Pt 3.697 4.063 0.000
```

The 10 most intense peaks (10 to 80 degrees two-theta), sorted by position:
2θ (°), d/Å, Rel. int.
11.73, 7.547, 88
16.64, 5.329, 96
17.08, 5.192, 62
23.75, 3.747, 64
25.77, 3.457, 100
27.01, 3.302, 76
28.44, 3.139, 52
29.69, 3.009, 50
33.63, 2.665, 49
40.28, 2.239, 60


Please write out number 1 again, unchanged.
Theoretical XRD peak list
Compound: Ba2SrH12Pd3
Radiation: Cu Ka
Structure: a crystal structure in Alexandria, relaxed with PBE
Kinematic intensities with the Lorentz-polarization factor, no thermal factor.

Crystal structure
```
18
Lattice="3.447 1.990 5.256 -3.447 1.990 5.256 0.000 -3.981 5.256" Properties=species:S:1:pos:R:3 pbc="T T T"
Ba 0.000 0.000 1.716
Ba 0.000 0.000 14.051
Sr 0.000 0.000 7.883
H -1.920 -1.108 6.948
H 0.000 -1.507 5.451
H -1.306 0.754 5.451
H 0.000 -2.217 8.819
H -1.920 1.108 8.819
H -1.306 -0.754 10.315
H 1.306 0.754 5.451
H 1.920 -1.108 6.948
H 0.000 2.217 6.948
H 1.306 -0.754 10.316
H 0.000 1.507 10.316
H 1.920 1.108 8.819
Pd -1.724 -0.995 5.256
Pd -1.724 0.995 10.511
Pd 0.000 1.990 5.256
```

The 10 most intense peaks (10 to 80 degrees two-theta), sorted by position:
2θ (°), d/Å, Rel. int.
25.84, 3.447, 24
27.11, 3.290, 25
30.47, 2.933, 55
31.02, 2.883, 54
32.08, 2.790, 100
48.93, 1.861, 15
49.68, 1.835, 28
53.13, 1.724, 26
55.90, 1.645, 17
63.44, 1.466, 21


What did the second record say?
Theoretical XRD peak list
Compound: Ba2TbH12Pd3
Radiation: Cu Ka
Structure: a crystal structure in Alexandria, relaxed with PBE
Kinematic intensities with the Lorentz-polarization factor, no thermal factor.

Crystal structure
```
18
Lattice="3.470 2.003 5.008 -3.470 2.003 5.008 0.000 -4.006 5.008" Properties=species:S:1:pos:R:3 pbc="T T T"
Ba 0.000 0.000 1.707
Ba 0.000 0.000 13.316
Tb 0.000 0.000 7.511
H -1.792 -1.035 6.735
H 0.000 -1.499 5.205
H -1.298 0.750 5.205
H 0.000 -2.069 8.288
H -1.792 1.035 8.288
H -1.298 -0.750 9.817
H 1.298 0.750 5.205
H 1.792 -1.035 6.735
H 0.000 2.069 6.735
H 1.298 -0.750 9.817
H 0.000 1.499 9.817
H 1.792 1.035 8.288
Pd -1.735 -1.002 5.008
Pd -1.735 1.002 10.015
Pd 0.000 2.003 5.008
```

The 10 most intense peaks (10 to 80 degrees two-theta), sorted by position:
2θ (°), d/Å, Rel. int.
25.68, 3.470, 47
30.34, 2.946, 45
31.37, 2.852, 100
32.08, 2.790, 76
33.34, 2.687, 64
48.97, 1.860, 29
50.36, 1.812, 40
52.77, 1.735, 39
57.91, 1.592, 26
63.87, 1.458, 22